[1]
This entry pairs a crystal structure of Li2MgCd with its computed powder diffraction line list. Radiation: Cu Ka. Structure: a crystal structure in Alexandria, relaxed with PBE.

Structural model:
a b c (Å): 3.3892 3.3892 6.8498
angles (deg): 90.00 90.00 90.00
Element x y z (fractional)
1 Li 0.0000 0.0000 0.0000
2 Li 0.5000 0.5000 0.2386
3 Mg 0.0000 0.0000 0.5043
4 Cd 0.5000 0.5000 0.7759

Peak list (10 most intense, 2θ = 10–90°, in order of rising 2θ)
Position (°2θ)  I_rel
12.92  100
26.02  14
26.30  26
29.40  65
37.33  58
37.53  29
39.85  26
48.05  13
62.79  14
67.59  19


[2]
This entry pairs a crystal structure of La8CuRh5 with its computed powder diffraction line list. Radiation: Cu Ka. Structure: a crystal structure in Alexandria, relaxed with PBE.

Structural model:
a b c (Å): 7.8407 7.8407 7.8407
angles (deg): 109.11 109.11 110.19
Element x y z (fractional)
1 La 0.0138 0.3857 0.2533
2 La 0.1252 0.2675 0.7475
3 La 0.1324 0.7605 0.7467
4 La 0.2395 0.9862 0.3720
5 La 0.5200 0.3777 0.2525
6 La 0.6143 0.8676 0.6280
7 La 0.6223 0.8748 0.1423
8 La 0.7325 0.4800 0.8577
9 Cu 0.0000 0.0000 0.0000
10 Rh 0.2430 0.6276 0.1216
11 Rh 0.3724 0.4940 0.6154
12 Rh 0.5060 0.1214 0.8784
13 Rh 0.7500 0.2500 0.5000
14 Rh 0.8786 0.7570 0.3846

Peak list (10 most intense, 2θ = 10–90°, in order of rising 2θ)
Position (°2θ)  I_rel
27.94  20
31.12  100
31.49  45
37.03  24
37.14  23
37.32  22
51.25  19
51.68  16
63.07  15
77.13  14